Theoretical X-ray powder pattern of KMn16O32 for Cu Kα (weighted mean of Kα1 and Kα2), from a PBE+U-relaxed structure.

Largest 8 diffraction maxima, sorted by position, 10 to 90 degrees two-theta:
12.6 deg, I = 100; 17.8 deg, I = 90; 28.4 deg, I = 76; 36.1 deg, I = 25; 36.6 deg, I = 81; 48.8 deg, I = 45; 59.0 deg, I = 48; 68.2 deg, I = 33

Atomic structure:
Cell lengths 9.955, 9.955, 5.880 Å; angles 90.00, 90.00, 90.00 degrees
Element x y z (fractional)
1 K 0.000 0.000 0.000
2 Mn 0.150 0.334 0.500
3 Mn 0.152 0.336 0.000
4 Mn 0.167 0.652 0.250
5 Mn 0.167 0.652 0.750
6 Mn 0.334 0.850 0.500
7 Mn 0.336 0.848 0.000
8 Mn 0.348 0.167 0.250
9 Mn 0.348 0.167 0.750
10 Mn 0.652 0.833 0.250
11 Mn 0.652 0.833 0.750
12 Mn 0.664 0.152 0.000
13 Mn 0.666 0.150 0.500
14 Mn 0.833 0.348 0.250
15 Mn 0.833 0.348 0.750
16 Mn 0.848 0.664 0.000
17 Mn 0.850 0.666 0.500
18 O 0.043 0.668 0.500
19 O 0.043 0.669 0.000
20 O 0.155 0.204 0.248
21 O 0.155 0.204 0.752
22 O 0.163 0.458 0.251
23 O 0.163 0.458 0.749
24 O 0.204 0.845 0.248
25 O 0.204 0.845 0.752
26 O 0.296 0.656 0.000
27 O 0.296 0.657 0.500
28 O 0.331 0.043 0.000
29 O 0.332 0.043 0.500
30 O 0.343 0.296 0.500
31 O 0.344 0.296 0.000
32 O 0.458 0.837 0.251
33 O 0.458 0.837 0.749
34 O 0.542 0.163 0.251
35 O 0.542 0.163 0.749
36 O 0.656 0.704 0.000
37 O 0.657 0.704 0.500
38 O 0.668 0.957 0.500
39 O 0.669 0.957 0.000
40 O 0.704 0.343 0.500
41 O 0.704 0.344 0.000
42 O 0.796 0.155 0.248
43 O 0.796 0.155 0.752
44 O 0.837 0.542 0.251
45 O 0.837 0.542 0.749
46 O 0.845 0.796 0.248
47 O 0.845 0.796 0.752
48 O 0.957 0.331 0.000
49 O 0.957 0.332 0.500

=====

Theoretical X-ray powder pattern of KMnPO4 for Cu Kα (weighted mean of Kα1 and Kα2), from a PBE+U-relaxed structure.

Largest 8 diffraction maxima, sorted by position, 10 to 90 degrees two-theta:
20.3 deg, I = 25; 26.9 deg, I = 43; 27.5 deg, I = 100; 27.6 deg, I = 46; 27.8 deg, I = 28; 31.9 deg, I = 26; 32.2 deg, I = 54; 33.4 deg, I = 24

Atomic structure:
Cell lengths 5.566, 8.773, 9.101 Å; angles 87.96, 89.04, 87.55 degrees
Element x y z (fractional)
1 K 0.217 0.005 0.177
2 K 0.238 0.502 0.321
3 K 0.762 0.498 0.679
4 K 0.783 0.995 0.823
5 Mn 0.267 0.678 0.897
6 Mn 0.315 0.158 0.577
7 Mn 0.685 0.842 0.423
8 Mn 0.733 0.322 0.103
9 P 0.216 0.795 0.557
10 P 0.238 0.295 0.907
11 P 0.762 0.705 0.093
12 P 0.784 0.205 0.443
13 O 0.002 0.280 0.512
14 O 0.027 0.750 0.060
15 O 0.167 0.822 0.723
16 O 0.239 0.457 0.834
17 O 0.266 0.950 0.474
18 O 0.357 0.177 0.802
19 O 0.377 0.288 0.055
20 O 0.447 0.691 0.535
21 O 0.553 0.309 0.465
22 O 0.623 0.712 0.945
23 O 0.643 0.823 0.198
24 O 0.734 0.050 0.526
25 O 0.761 0.543 0.166
26 O 0.833 0.178 0.277
27 O 0.973 0.250 0.940
28 O 0.998 0.720 0.488

=====

Theoretical X-ray powder pattern of K2MnP2O6 for Cu Kα (weighted mean of Kα1 and Kα2), from a PBE+U-relaxed structure.

Largest 8 diffraction maxima, sorted by position, 10 to 90 degrees two-theta:
20.9 deg, I = 32; 27.8 deg, I = 34; 31.5 deg, I = 100; 31.7 deg, I = 23; 32.1 deg, I = 85; 42.5 deg, I = 64; 58.9 deg, I = 39; 65.7 deg, I = 26

Atomic structure:
Cell lengths 6.524, 6.524, 6.524 Å; angles 51.63, 51.63, 51.63 degrees
Element x y z (fractional)
1 K 0.226 0.226 0.226
2 K 0.774 0.774 0.774
3 Mn 0.000 0.000 0.000
4 P 0.435 0.435 0.435
5 P 0.565 0.565 0.565
6 O 0.259 0.259 0.713
7 O 0.259 0.713 0.259
8 O 0.287 0.741 0.741
9 O 0.713 0.259 0.259
10 O 0.741 0.287 0.741
11 O 0.741 0.741 0.287

=====

Theoretical X-ray powder pattern of K2MnP2O7 for Cu Kα (weighted mean of Kα1 and Kα2), from a PBE+U-relaxed structure.

Largest 8 diffraction maxima, sorted by position, 10 to 90 degrees two-theta:
20.6 deg, I = 28; 26.5 deg, I = 26; 28.6 deg, I = 16; 30.1 deg, I = 87; 32.0 deg, I = 100; 41.9 deg, I = 26; 44.5 deg, I = 15; 55.8 deg, I = 14

Atomic structure:
Cell lengths 9.685, 5.611, 14.061 Å; angles 90.00, 117.42, 90.00 degrees
Element x y z (fractional)
1 K 0.007 0.234 0.135
2 K 0.007 0.266 0.635
3 K 0.465 0.229 0.323
4 K 0.465 0.271 0.823
5 K 0.535 0.729 0.177
6 K 0.535 0.771 0.677
7 K 0.993 0.734 0.365
8 K 0.993 0.766 0.865
9 Mn 0.268 0.243 0.519
10 Mn 0.268 0.257 0.019
11 Mn 0.732 0.743 0.981
12 Mn 0.732 0.757 0.481
13 P 0.168 0.741 0.139
14 P 0.168 0.759 0.639
15 P 0.327 0.725 0.380
16 P 0.327 0.775 0.880
17 P 0.673 0.225 0.120
18 P 0.673 0.275 0.620
19 P 0.832 0.241 0.361
20 P 0.832 0.259 0.861
21 O 0.008 0.232 0.430
22 O 0.008 0.268 0.930
23 O 0.185 0.706 0.759
24 O 0.185 0.794 0.259
25 O 0.245 0.544 0.616
26 O 0.245 0.956 0.116
27 O 0.250 0.503 0.144
28 O 0.250 0.997 0.644
29 O 0.286 0.026 0.901
30 O 0.286 0.474 0.401
31 O 0.309 0.584 0.950
32 O 0.309 0.916 0.450
33 O 0.479 0.736 0.371
34 O 0.479 0.764 0.871
35 O 0.521 0.236 0.129
36 O 0.521 0.264 0.629
37 O 0.691 0.084 0.550
38 O 0.691 0.416 0.050
39 O 0.714 0.526 0.599
40 O 0.714 0.974 0.099
41 O 0.750 0.003 0.356
42 O 0.750 0.497 0.856
43 O 0.755 0.044 0.884
44 O 0.755 0.456 0.384
45 O 0.815 0.206 0.741
46 O 0.815 0.294 0.241
47 O 0.992 0.732 0.070
48 O 0.992 0.768 0.570